K5NaNi5P8O28: simulated X-ray powder pattern (Cu Kα), based on a cell relaxed with GGA+U.
Kinematic intensities with the Lorentz-polarization factor, no thermal factor.

Structure:
Unit cell a=7.2844 b=9.4219 c=10.2185 alpha=70.47 beta=89.48 gamma=75.81
Space group P1 (No. 1)
Symmetry-distinct sites (fractional):
K1 0.0000 0.0000 0.0000 x1
K2 0.0011 0.0960 0.3598 x1
K3 0.0509 0.3476 0.6095 x1
K4 0.4991 0.5414 0.6883 x1
K5 0.9467 0.7336 0.7691 x1
Na1 0.4348 0.1732 0.8589 x1
Ni1 0.9998 0.5450 0.1862 x1
Ni2 0.3613 0.5859 0.0558 x1
Ni3 0.4975 0.0511 0.1832 x1
Ni4 0.5786 0.9235 0.5016 x1
Ni5 0.6378 0.5039 0.3074 x1
P1 0.1477 0.3619 0.9672 x1
P2 0.2497 0.7347 0.3095 x1
P3 0.3517 0.8881 0.7817 x1
P4 0.3622 0.2855 0.3573 x1
P5 0.6392 0.8052 0.0187 x1
P6 0.6627 0.2010 0.5774 x1
P7 0.7500 0.3555 0.0608 x1
P8 0.8497 0.7326 0.4062 x1
O1 0.0698 0.7367 0.4166 x1
O2 0.1488 0.3483 0.3493 x1
O3 0.1513 0.4859 0.0345 x1
O4 0.1750 0.6875 0.1926 x1
O5 0.1993 0.4126 0.8168 x1
O6 0.2527 0.0525 0.7740 x1
O7 0.2540 0.7672 0.8732 x1
O8 0.2608 0.1980 0.0547 x1
O9 0.2701 0.9007 0.2597 x1
O10 0.3900 0.8675 0.6392 x1
O11 0.4178 0.6129 0.4042 x1
O12 0.4197 0.1180 0.3505 x1
O13 0.4363 0.2620 0.5144 x1
O14 0.4593 0.3956 0.2515 x1
O15 0.5378 0.6906 0.1170 x1
O16 0.5684 0.8388 0.8579 x1
O17 0.5794 0.4743 0.9668 x1
O18 0.5890 0.9636 0.0370 x1
O19 0.6633 0.2182 0.7189 x1
O20 0.7283 0.9001 0.3280 x1
O21 0.7299 0.1889 0.1140 x1
O22 0.7332 0.0315 0.5781 x1
O23 0.7632 0.3097 0.4733 x1
O24 0.7869 0.6911 0.5556 x1
O25 0.8224 0.4048 0.1778 x1
O26 0.8414 0.6115 0.3381 x1
O27 0.8522 0.7377 0.0239 x1
O28 0.9249 0.3571 0.9551 x1

Principal peaks in the range 2θ from 10° to 90°, in order of falling intensity:
two_theta	intensity
31.11	100
29.21	91
28.95	84
28.37	78
11.23	67
29.34	66
32.06	59
12.57	58
27.77	57
37.04	52